Entry 1:
Structure and calculated X-ray diffraction stick pattern of LiAc2Ru (DFT lattice parameters and positions (PBE); a wavelength of 1.5418 Å).

Structural model:
a b c (Å): 5.3598 5.3598 5.3598
angles (deg): 60.00 60.00 60.00
Sites, in units of the cell vectors:
Li  0.0000  0.0000  0.0000
Ac  0.2500  0.2500  0.2500
Ac  0.7500  0.7500  0.7500
Ru  0.5000  0.5000  0.5000

Largest 6 diffraction maxima, most intense first, 2θ from 15° to 90°:
| two_theta | intensity |
| --- | --- |
| 33.44 | 100 |
| 23.47 | 44 |
| 59.77 | 39 |
| 54.11 | 20 |
| 48.01 | 18 |
| 80.07 | 17 |

=====

Entry 2:
Structure and calculated X-ray diffraction stick pattern of LiAc2Sn (DFT lattice parameters and positions (PBE); a wavelength of 1.5418 Å).

Structural model:
a b c (Å): 5.7344 5.7344 5.7344
angles (deg): 60.00 60.00 60.00
Sites, in units of the cell vectors:
Li  0.0000  0.0000  0.0000
Ac  0.2500  0.2500  0.2500
Ac  0.7500  0.7500  0.7500
Sn  0.5000  0.5000  0.5000

Largest 6 diffraction maxima, most intense first, 2θ from 15° to 90°:
| two_theta | intensity |
| --- | --- |
| 31.19 | 100 |
| 55.51 | 41 |
| 21.92 | 36 |
| 44.70 | 19 |
| 73.92 | 18 |
| 50.32 | 17 |

=====

Entry 3:
Structure and calculated X-ray diffraction stick pattern of LiAcTe2 (DFT lattice parameters and positions (PBE); a wavelength of 1.5418 Å).

Structural model:
a b c (Å): 5.6018 5.6018 5.6018
angles (deg): 60.00 60.00 60.00
Sites, in units of the cell vectors:
Li  0.0000  0.0000  0.0000
Ac  0.5000  0.5000  0.5000
Te  0.2500  0.2500  0.2500
Te  0.7500  0.7500  0.7500

Largest 6 diffraction maxima, most intense first, 2θ from 15° to 90°:
| two_theta | intensity |
| --- | --- |
| 31.95 | 100 |
| 19.41 | 46 |
| 56.94 | 39 |
| 37.66 | 27 |
| 45.82 | 19 |
| 75.97 | 17 |

=====

Entry 4:
Structure and calculated X-ray diffraction stick pattern of AcMg5 (DFT lattice parameters and positions (PBE); a wavelength of 1.5418 Å).

Structural model:
a b c (Å): 6.1639 6.1639 5.0018
angles (deg): 90.00 90.00 120.00
Sites, in units of the cell vectors:
Ac  0.0000  0.0000  0.0000
Mg  0.0000  0.5126  0.5000
Mg  0.3333  0.6667  0.0000
Mg  0.4874  0.4874  0.5000
Mg  0.5126  0.0000  0.5000
Mg  0.6667  0.3333  0.0000

Largest 6 diffraction maxima, most intense first, 2θ from 15° to 90°:
| two_theta | intensity |
| --- | --- |
| 24.39 | 100 |
| 34.17 | 78 |
| 16.61 | 69 |
| 28.97 | 41 |
| 33.58 | 34 |
| 48.66 | 32 |